Entry 1:
Structure and calculated powder diffraction line list of TcMoAu (a PBE-relaxed structure; Cu Kα).
Peak positions follow from Bragg's law for the DFT cell and can differ from measured ones.

Crystal structure
a b c (Å): 7.1341 6.9689 2.7570
angles (deg): 82.12 75.38 22.51
Sites, in units of the cell vectors:
Tc1 0.0000 0.0000 0.0000
Mo1 0.6475 0.6475 0.3525
Au1 0.3236 0.3236 0.6764

Largest 8 diffraction maxima, sorted by position, 5° ≤ 2θ ≤ 70°:
d (Å)	Position (°2θ)	Rel. int.
6.777	13.06	12.1
3.389	26.30	9.5
2.576	34.82	11.1
2.269	39.72	100.0
2.259	39.91	23.5
2.228	40.48	24.1
1.623	56.70	8.9
1.586	58.15	15.5

***

Entry 2:
Structure and calculated powder diffraction line list of La4ScCd (a PBE-relaxed structure; Cu Kα).
Peak positions follow from Bragg's law for the DFT cell and can differ from measured ones.

Crystal structure
a b c (Å): 3.7347 3.7347 13.9698
angles (deg): 90.00 90.00 90.00
Sites, in units of the cell vectors:
La1 0.0000 0.0000 0.1548
La2 0.0000 0.0000 0.8452
La3 0.5000 0.5000 0.3387
La4 0.5000 0.5000 0.6613
Sc1 0.0000 0.0000 0.5000
Cd1 0.5000 0.5000 0.0000

Largest 8 diffraction maxima, sorted by position, 5° ≤ 2θ ≤ 70°:
d (Å)	Position (°2θ)	Rel. int.
13.970	6.33	9.9
2.913	30.69	100.0
2.641	33.95	39.1
2.328	38.67	12.4
1.867	48.77	13.9
1.746	52.39	20.5
1.572	58.73	30.8
1.457	63.91	11.3

***

Entry 3:
Structure and calculated powder diffraction line list of Ce3Pu2O9 (a PBE-relaxed structure; Cu Kα).
Peak positions follow from Bragg's law for the DFT cell and can differ from measured ones.

Crystal structure
a b c (Å): 13.8668 13.8668 13.8668
angles (deg): 163.92 163.92 22.82
Sites, in units of the cell vectors:
Ce1 0.0000 0.0000 0.0000
Ce2 0.4008 0.4008 0.0000
Ce3 0.5992 0.5992 0.0000
Pu1 0.1964 0.1964 0.0000
Pu2 0.8036 0.8036 0.0000
O1 0.0540 0.5540 0.5000
O2 0.1594 0.6594 0.5000
O3 0.3406 0.8406 0.5000
O4 0.4460 0.9460 0.5000
O5 0.5476 0.0476 0.5000
O6 0.6487 0.1487 0.5000
O7 0.7500 0.2500 0.5000
O8 0.8513 0.3513 0.5000
O9 0.9524 0.4524 0.5000

Largest 8 diffraction maxima, sorted by position, 5° ≤ 2θ ≤ 70°:
d (Å)	Position (°2θ)	Rel. int.
13.593	6.50	10.5
3.158	28.26	100.0
2.743	32.64	24.5
2.719	32.95	11.4
1.940	46.84	17.1
1.931	47.06	32.4
1.653	55.60	30.9
1.642	56.00	14.3

***

Entry 4:
Structure and calculated powder diffraction line list of CdIn2SbTe2 (a PBE-relaxed structure; Cu Kα).
Peak positions follow from Bragg's law for the DFT cell and can differ from measured ones.

Crystal structure
a b c (Å): 8.0717 8.0717 8.0852
angles (deg): 90.00 90.00 60.85
Sites, in units of the cell vectors:
Cd1 0.1698 0.8302 0.5000
Cd2 0.8302 0.1698 0.0000
In1 0.1626 0.5239 0.9954
In2 0.4761 0.8374 0.9954
In3 0.5239 0.1626 0.4954
In4 0.8374 0.4761 0.4954
Sb1 0.1443 0.8557 0.8498
Sb2 0.8557 0.1443 0.3498
Te1 0.1738 0.4896 0.3659
Te2 0.4896 0.1738 0.8659
Te3 0.5104 0.8262 0.3659
Te4 0.8262 0.5104 0.8659

Largest 8 diffraction maxima, sorted by position, 5° ≤ 2θ ≤ 70°:
d (Å)	Position (°2θ)	Rel. int.
4.088	21.74	24.7
4.039	22.01	100.0
3.611	24.66	40.3
2.350	38.30	46.8
2.320	38.82	23.2
2.250	40.07	30.2
2.241	40.24	57.8
2.032	44.60	25.9

***

Entry 5:
Structure and calculated powder diffraction line list of Sm2MnRu3 (a PBE-relaxed structure; Cu Kα).
Peak positions follow from Bragg's law for the DFT cell and can differ from measured ones.

Crystal structure
a b c (Å): 5.3206 5.3206 5.3206
angles (deg): 61.56 61.56 61.56
Sites, in units of the cell vectors:
Sm1 0.1240 0.1240 0.1240
Sm2 0.8760 0.8760 0.8760
Mn1 0.5000 0.5000 0.5000
Ru1 0.0000 0.5000 0.5000
Ru2 0.5000 0.0000 0.5000
Ru3 0.5000 0.5000 0.0000

Largest 8 diffraction maxima, sorted by position, 5° ≤ 2θ ≤ 70°:
d (Å)	Position (°2θ)	Rel. int.
2.723	32.90	38.2
2.659	33.71	67.4
2.319	38.83	83.1
2.299	39.18	100.0
2.260	39.88	50.4
2.214	40.75	45.2
1.559	59.26	27.0
1.361	68.99	30.1

***

Entry 6:
Structure and calculated powder diffraction line list of Tm2Mg3In2 (a PBE-relaxed structure; Cu Kα).
Peak positions follow from Bragg's law for the DFT cell and can differ from measured ones.

Crystal structure
a b c (Å): 11.1825 11.1825 3.4409
angles (deg): 90.00 90.00 155.70
Sites, in units of the cell vectors:
Tm1 0.1547 0.8453 0.0000
Tm2 0.8453 0.1547 0.0000
Mg1 0.0000 0.0000 0.0000
Mg2 0.4292 0.5708 0.5000
Mg3 0.5708 0.4292 0.5000
In1 0.2902 0.7098 0.5000
In2 0.7098 0.2902 0.5000

Largest 8 diffraction maxima, sorted by position, 5° ≤ 2θ ≤ 70°:
d (Å)	Position (°2θ)	Rel. int.
10.932	8.09	100.0
2.912	30.70	15.4
2.756	32.49	24.4
2.599	34.51	77.3
2.502	35.89	13.6
2.354	38.24	16.0
1.435	64.98	11.3
1.402	66.74	11.2

***

Entry 7:
Structure and calculated powder diffraction line list of Pu2Ta2S7 (a PBE-relaxed structure; Cu Kα).
Peak positions follow from Bragg's law for the DFT cell and can differ from measured ones.

Crystal structure
a b c (Å): 8.2217 8.2217 8.2217
angles (deg): 154.66 69.71 116.30
Sites, in units of the cell vectors:
Pu1 0.2157 0.0000 0.2157
Pu2 0.7843 0.0000 0.7843
Ta1 0.2861 0.2861 0.0000
Ta2 0.6701 0.1701 0.5000
S1 0.0842 0.7006 0.3837
S2 0.3169 0.7006 0.6163
S3 0.4107 0.5167 0.8939
S4 0.6002 0.2774 0.3228
S5 0.6228 0.5167 0.1061
S6 0.8807 0.8807 0.0000
S7 0.9546 0.2774 0.6772

Largest 8 diffraction maxima, sorted by position, 5° ≤ 2θ ≤ 70°:
d (Å)	Position (°2θ)	Rel. int.
3.993	22.26	44.5
3.649	24.39	100.0
3.331	26.76	56.3
2.987	29.92	60.5
2.370	37.96	54.2
2.361	38.12	45.5
2.140	42.23	37.6
1.618	56.92	33.3

***

Entry 8:
Structure and calculated powder diffraction line list of Y3Ho2ThS6 (a PBE-relaxed structure; Cu Kα).
Peak positions follow from Bragg's law for the DFT cell and can differ from measured ones.

Crystal structure
a b c (Å): 8.7785 8.7785 7.8857
angles (deg): 102.73 102.73 25.82
Sites, in units of the cell vectors:
Y1 0.0000 0.0000 0.0000
Y2 0.3372 0.3372 0.6660
Y3 0.6628 0.6628 0.3340
Ho1 0.3353 0.3353 0.1702
Ho2 0.6647 0.6647 0.8298
Th1 0.0000 0.0000 0.5000
S1 0.1688 0.1688 0.0815
S2 0.1718 0.1718 0.5885
S3 0.4983 0.4983 0.2389
S4 0.5017 0.5017 0.7611
S5 0.8282 0.8282 0.4115
S6 0.8312 0.8312 0.9185

Largest 8 diffraction maxima, sorted by position, 5° ≤ 2θ ≤ 70°:
d (Å)	Position (°2θ)	Rel. int.
6.418	13.80	16.4
3.222	27.69	17.9
3.206	27.83	53.0
2.780	32.20	100.0
1.969	46.09	35.8
1.962	46.27	35.5
1.676	54.77	17.3
1.603	57.49	18.3

***

Entry 9:
Structure and calculated powder diffraction line list of BaFeIr (a PBE-relaxed structure; Cu Kα).
Peak positions follow from Bragg's law for the DFT cell and can differ from measured ones.

Crystal structure
a b c (Å): 4.7881 4.3958 8.8305
angles (deg): 90.00 91.03 90.00
Sites, in units of the cell vectors:
Ba1 0.2424 0.2500 0.2122
Ba2 0.7576 0.7500 0.7878
Fe1 0.1452 0.2500 0.5760
Fe2 0.8548 0.7500 0.4240
Ir1 0.3459 0.7500 0.4952
Ir2 0.6541 0.2500 0.5048

Largest 8 diffraction maxima, sorted by position, 5° ≤ 2θ ≤ 70°:
d (Å)	Position (°2θ)	Rel. int.
8.829	10.02	100.0
4.241	20.95	15.1
3.052	29.26	8.9
2.943	30.37	14.0
2.626	34.14	18.9
2.596	34.55	11.9
2.198	41.07	11.1
2.038	44.46	14.4

***

Entry 10:
Structure and calculated powder diffraction line list of Ho6Sc3Tl (a PBE-relaxed structure; Cu Kα).
Peak positions follow from Bragg's law for the DFT cell and can differ from measured ones.

Crystal structure
a b c (Å): 12.3822 3.4009 13.7334
angles (deg): 90.00 100.43 90.00
Sites, in units of the cell vectors:
Ho1 0.0073 0.2500 0.3122
Ho2 0.1559 0.2500 0.8845
Ho3 0.2428 0.7500 0.3053
Ho4 0.2776 0.7500 0.7166
Ho5 0.3100 0.7500 0.0782
Ho6 0.3792 0.2500 0.5272
Ho7 0.6208 0.7500 0.4728
Ho8 0.6900 0.2500 0.9218
Ho9 0.7224 0.2500 0.2834
Ho10 0.7572 0.2500 0.6947
Ho11 0.8441 0.7500 0.1155
Ho12 0.9927 0.7500 0.6878
Sc1 0.0769 0.2500 0.0957
Sc2 0.1274 0.7500 0.5026
Sc3 0.4254 0.2500 0.9050
Sc4 0.5746 0.7500 0.0950
Sc5 0.8726 0.2500 0.4974
Sc6 0.9231 0.7500 0.9043
Tl1 0.4656 0.2500 0.2797
Tl2 0.5344 0.7500 0.7203

Largest 8 diffraction maxima, sorted by position, 5° ≤ 2θ ≤ 70°:
d (Å)	Position (°2θ)	Rel. int.
2.848	31.41	79.6
2.765	32.38	80.5
2.713	33.02	79.9
2.701	33.16	61.0
2.606	34.42	100.0
2.334	38.57	46.5
1.776	51.47	27.5
1.448	64.32	24.3

***

Entry 11:
Structure and calculated powder diffraction line list of BaPd (a PBE-relaxed structure; Cu Kα).
Peak positions follow from Bragg's law for the DFT cell and can differ from measured ones.

Crystal structure
a b c (Å): 9.7575 9.7575 4.8787
angles (deg): 90.00 90.00 120.00
Sites, in units of the cell vectors:
Ba1 0.1954 0.3908 0.2500
Ba2 0.1954 0.8046 0.2500
Ba3 0.3908 0.1954 0.7500
Ba4 0.6092 0.8046 0.2500
Ba5 0.8046 0.1954 0.7500
Ba6 0.8046 0.6092 0.7500
Pd1 0.1374 0.5687 0.7500
Pd2 0.4313 0.5687 0.7500
Pd3 0.4313 0.8626 0.7500
Pd4 0.5687 0.1374 0.2500
Pd5 0.5687 0.4313 0.2500
Pd6 0.8626 0.4313 0.2500

Largest 8 diffraction maxima, sorted by position, 5° ≤ 2θ ≤ 70°:
d (Å)	Position (°2θ)	Rel. int.
8.450	10.47	54.4
3.194	27.94	82.8
2.817	31.77	20.2
2.672	33.54	19.3
2.439	36.85	100.0
1.939	46.86	15.0
1.690	54.28	14.9
1.518	61.06	22.4

***

Entry 12:
Structure and calculated powder diffraction line list of AcZnHg (a PBE-relaxed structure; Cu Kα).
Peak positions follow from Bragg's law for the DFT cell and can differ from measured ones.

Crystal structure
a b c (Å): 4.9291 4.9291 3.8943
angles (deg): 90.00 90.00 120.00
Sites, in units of the cell vectors:
Ac1 0.0000 0.0000 0.0000
Zn1 0.6667 0.3333 0.5000
Hg1 0.3333 0.6667 0.5000

Largest 8 diffraction maxima, sorted by position, 5° ≤ 2θ ≤ 70°:
d (Å)	Position (°2θ)	Rel. int.
4.269	20.81	18.2
2.877	31.09	100.0
2.465	36.46	57.3
1.947	46.65	9.6
1.872	48.65	29.5
1.528	60.61	26.6
1.491	62.29	28.5
1.423	65.61	10.5

***

Entry 13:
Structure and calculated powder diffraction line list of SrCaEuBiO6 (a PBE-relaxed structure; Cu Kα).
Peak positions follow from Bragg's law for the DFT cell and can differ from measured ones.

Crystal structure
a b c (Å): 5.9779 5.9779 8.6940
angles (deg): 90.00 90.00 90.00
Sites, in units of the cell vectors:
Sr1 0.0000 0.0000 0.0000
Sr2 0.5000 0.5000 0.0000
Ca1 0.0000 0.0000 0.5000
Ca2 0.5000 0.5000 0.5000
Eu1 0.0000 0.5000 0.2524
Eu2 0.5000 0.0000 0.7476
Bi1 0.0000 0.5000 0.7455
Bi2 0.5000 0.0000 0.2545
O1 0.0000 0.5000 0.5049
O2 0.0000 0.5000 0.9911
O3 0.1590 0.8207 0.7420
O4 0.1793 0.8410 0.2580
O5 0.3207 0.3410 0.7420
O6 0.3410 0.3207 0.2580
O7 0.5000 0.0000 0.0089
O8 0.5000 0.0000 0.4951
O9 0.6590 0.6793 0.2580
O10 0.6793 0.6590 0.7420
O11 0.8207 0.1590 0.2580
O12 0.8410 0.1793 0.7420

Largest 8 diffraction maxima, sorted by position, 5° ≤ 2θ ≤ 70°:
d (Å)	Position (°2θ)	Rel. int.
4.347	20.43	21.3
4.227	21.02	35.0
3.030	29.47	100.0
2.989	29.89	59.8
2.114	42.79	27.3
1.758	52.02	25.3
1.734	52.81	48.6
1.515	61.16	18.3